No. 1
Theoretical X-ray powder pattern of ErP2Os for CuKα, from a cell relaxed with PBE.
Peak positions follow from Bragg's law for the DFT cell and can differ from measured ones.

Top 10 peaks for 2θ from 10° to 90°, in order of rising 2θ:
2θ 29.06, intensity 83
2θ 33.30, intensity 22
2θ 34.98, intensity 100
2θ 47.39, intensity 44
2θ 53.10, intensity 27
2θ 56.56, intensity 14
2θ 59.15, intensity 26
2θ 60.24, intensity 21
2θ 64.14, intensity 12
2θ 80.02, intensity 19

Structure:
abc: 5.8192 5.8192 5.8192
angles: 38.50 38.50 38.50
Fractional coordinates of all 4 atoms:
Er 0.0000 0.0000 0.0000
P 0.2302 0.2302 0.2302
P 0.7698 0.7698 0.7698
Os 0.5000 0.5000 0.5000

No. 2
Theoretical X-ray powder pattern of Er6OsPd5 for CuKα, from a cell relaxed with PBE.
Peak positions follow from Bragg's law for the DFT cell and can differ from measured ones.

Top 10 peaks for 2θ from 10° to 90°, in order of rising 2θ:
2θ 36.59, intensity 100
2θ 36.77, intensity 99
2θ 36.90, intensity 98
2θ 52.51, intensity 18
2θ 52.91, intensity 17
2θ 65.85, intensity 18
2θ 65.95, intensity 17
2θ 66.11, intensity 18
2θ 66.21, intensity 17
2θ 66.51, intensity 34

Structure:
abc: 4.9170 6.8584 7.7438
angles: 90.00 108.11 90.00
Fractional coordinates of all 12 atoms:
Er 0.0000 0.2429 0.0000
Er 0.0000 0.7571 0.0000
Er 0.3375 0.2469 0.6743
Er 0.3375 0.7531 0.6743
Er 0.6625 0.2469 0.3257
Er 0.6625 0.7531 0.3257
Os 0.5000 0.0000 0.0000
Pd 0.1671 0.5000 0.3351
Pd 0.1690 0.0000 0.3388
Pd 0.5000 0.5000 0.0000
Pd 0.8310 0.0000 0.6612
Pd 0.8329 0.5000 0.6649

No. 3
Theoretical X-ray powder pattern of Er6OsPd2 for CuKα, from a cell relaxed with PBE.
Peak positions follow from Bragg's law for the DFT cell and can differ from measured ones.

Top 10 peaks for 2θ from 10° to 90°, in order of rising 2θ:
2θ 29.42, intensity 13
2θ 29.63, intensity 13
2θ 32.62, intensity 69
2θ 35.03, intensity 41
2θ 35.59, intensity 100
2θ 37.38, intensity 12
2θ 37.66, intensity 38
2θ 39.85, intensity 23
2θ 44.82, intensity 12
2θ 59.94, intensity 18

Structure:
abc: 8.2382 8.2382 8.2382
angles: 110.78 109.12 108.52
Fractional coordinates of all 18 atoms:
Er 0.0467 0.8327 0.2140
Er 0.2573 0.5713 0.3139
Er 0.2573 0.9434 0.6861
Er 0.2589 0.3268 0.5857
Er 0.2589 0.6732 0.9321
Er 0.3813 0.1673 0.2140
Er 0.6187 0.8327 0.7860
Er 0.7411 0.3268 0.0679
Er 0.7411 0.6732 0.4143
Er 0.7427 0.0566 0.3139
Er 0.7427 0.4287 0.6861
Er 0.9533 0.1673 0.7860
Os 0.0000 0.5000 0.5000
Os 0.5000 0.0000 0.5000
Pd 0.0000 0.1548 0.1548
Pd 0.0000 0.8452 0.8452
Pd 0.3635 0.3635 0.0000
Pd 0.6365 0.6365 0.0000

No. 4
Theoretical X-ray powder pattern of Er3OsPd2 for CuKα, from a cell relaxed with PBE.
Peak positions follow from Bragg's law for the DFT cell and can differ from measured ones.

Top 10 peaks for 2θ from 10° to 90°, in order of rising 2θ:
2θ 12.72, intensity 4
2θ 36.83, intensity 100
2θ 37.14, intensity 49
2θ 52.59, intensity 9
2θ 53.54, intensity 17
2θ 66.13, intensity 18
2θ 66.75, intensity 35
2θ 78.36, intensity 11
2θ 79.14, intensity 5
2θ 89.11, intensity 8

Structure:
abc: 7.6509 7.6509 6.9614
angles: 90.00 90.00 143.09
Fractional coordinates of all 12 atoms:
Er 0.0000 0.0000 0.2434
Er 0.0000 0.0000 0.7566
Er 0.3303 0.6697 0.2402
Er 0.3303 0.6697 0.7598
Er 0.6697 0.3303 0.2402
Er 0.6697 0.3303 0.7598
Os 0.1650 0.8350 0.0000
Os 0.8350 0.1650 0.0000
Pd 0.1664 0.8336 0.5000
Pd 0.5000 0.5000 0.0000
Pd 0.5000 0.5000 0.5000
Pd 0.8336 0.1664 0.5000

Please write out number 1 again, unchanged.
Theoretical X-ray powder pattern of ErP2Os for CuKα, from a cell relaxed with PBE.
Peak positions follow from Bragg's law for the DFT cell and can differ from measured ones.

Top 10 peaks for 2θ from 10° to 90°, in order of rising 2θ:
2θ 29.06, intensity 83
2θ 33.30, intensity 22
2θ 34.98, intensity 100
2θ 47.39, intensity 44
2θ 53.10, intensity 27
2θ 56.56, intensity 14
2θ 59.15, intensity 26
2θ 60.24, intensity 21
2θ 64.14, intensity 12
2θ 80.02, intensity 19

Structure:
abc: 5.8192 5.8192 5.8192
angles: 38.50 38.50 38.50
Fractional coordinates of all 4 atoms:
Er 0.0000 0.0000 0.0000
P 0.2302 0.2302 0.2302
P 0.7698 0.7698 0.7698
Os 0.5000 0.5000 0.5000

Question: Number 2 is which compound?
Answer: Er6OsPd5